1.
# TiTl3Au
Calculated powder diffractogram, CuKα. Input: a structure optimized by DFT (GGA-PBE).
Kinematic intensities with the Lorentz-polarization factor, no thermal factor.

a b c (Å): 5.435 5.435 5.435
angles (deg): 90.00 90.00 90.00
Space group Pm-3m (No. 221)
One atom of each set of equivalent atoms:
Ti  0.000  0.000  0.000 [1 per cell]
Tl  0.000  0.000  0.500 [3 per cell]
Au  0.500  0.500  0.500 [1 per cell]

Peak list (10 most intense, 2θ = 10–80°, sorted by position)
hkl	d (Å)	two_theta	intensity
1 0 0	5.435	16.31	1
1 1 0	3.843	23.15	1
1 1 1	3.138	28.45	100
2 0 0	2.717	32.96	66
2 2 0	1.921	47.31	48
3 1 1	1.639	56.13	47
2 2 2	1.569	58.86	17
4 0 0	1.359	69.14	8
3 3 1	1.247	76.39	19
4 2 0	1.215	78.75	22



2.
# YZrTiAu2
Calculated powder diffractogram, CuKα. Input: a structure optimized by DFT (GGA-PBE).
Kinematic intensities with the Lorentz-polarization factor, no thermal factor.

a b c (Å): 5.049 5.049 4.707
angles (deg): 90.00 90.00 90.00
Space group P4/mmm (No. 123)
One atom of each set of equivalent atoms:
Y  0.000  0.000  0.000 [1 per cell]
Zr  0.500  0.500  0.000 [1 per cell]
Ti  0.500  0.500  0.500 [1 per cell]
Au  0.000  0.500  0.500 [2 per cell]

Peak list (10 most intense, 2θ = 10–80°, sorted by position)
hkl	d (Å)	two_theta	intensity
0 0 1	4.707	18.85	20
1 1 1	2.844	31.45	100
2 0 0	2.524	35.56	50
0 0 2	2.354	38.24	21
2 0 1	2.225	40.55	12
2 2 0	1.785	51.18	18
2 0 2	1.721	53.21	31
3 1 1	1.512	61.31	30
1 1 3	1.436	64.92	13
2 2 2	1.422	65.65	17



3.
# Ti3Zn2Au8
Calculated powder diffractogram, CuKα. Input: a structure optimized by DFT (GGA-PBE).
Kinematic intensities with the Lorentz-polarization factor, no thermal factor.

a b c (Å): 5.3748 5.3748 29.6436
angles (deg): 90.00 90.00 120.00
Space group R-3m (No. 166, hexagonal axes)
One atom of each set of equivalent atoms:
Ti  0.0000  0.0000  0.0000 [3 per cell]
Ti  0.0000  0.0000  0.1879 [6 per cell]
Zn  0.0000  0.0000  0.3653 [6 per cell]
Au  0.0000  0.0000  0.2819 [6 per cell]
Au  0.0006  0.5003  0.7735 [18 per cell]

Peak list (10 most intense, 2θ = 10–80°, sorted by position)
hkl	d (Å)	two_theta	intensity
0 0 6	4.941	17.95	49
0 1 5	3.661	24.31	22
0 0 9	3.294	27.07	21
1 0 7	3.132	28.49	35
1 1 3	2.593	34.59	26
0 1 11	2.332	38.60	43
2 0 2	2.299	39.18	100
0 2 4	2.220	40.63	52
1 1 9	2.082	43.46	40
2 2 0	1.344	70.02	27